Structure and calculated powder diffraction line list of Ag2PPdSe4 (a cell relaxed with PBE; a wavelength of 1.5418 Å).
Intensities are scaled so that the largest is 100.

Cell and atoms:
```
data_Ag2PPdSe4
_chemical_formula_sum 'Ag4 P2 Pd2 Se8'
_cell_length_a 5.859
_cell_length_b 5.859
_cell_length_c 11.580
_cell_angle_alpha 90.00
_cell_angle_beta 90.00
_cell_angle_gamma 90.00
_symmetry_space_group_name_H-M 'I -4'
_symmetry_Int_Tables_number 82
_symmetry_space_group_name_Hall 'I -4'
loop_
_atom_site_label
_atom_site_fract_x
_atom_site_fract_y
_atom_site_fract_z
_atom_site_occupancy
Ag1 0.000 0.000 0.000 1
Ag2 0.000 0.500 0.250 1
P1 0.000 0.500 0.750 1
Pd1 0.000 0.000 0.500 1
Se1 0.212 0.265 0.631 1
```

Largest 10 diffraction maxima, in order of rising 2θ, 10° ≤ 2θ ≤ 90°:
2θ (°)  intensity
26.45  100
35.11  8
43.70  23
43.97  47
51.81  27
52.29  14
63.51  6
70.45  10
80.46  12
81.04  7